Structure and calculated powder X-ray diffraction pattern of Ta2MnO6 (a structure optimized by DFT (PBE+U); λ = 1.5418 Å (Cu Kα)).
Intensities are scaled so that the largest is 100.

Largest 8 diffraction maxima, by angle, 10° ≤ 2θ ≤ 80°:
hkl	Position (°2θ)	intensity
2 0 0	12.13	18
3 1 0	23.77	45
3 1 1	29.50	100
0 0 2	34.92	16
0 2 1	35.19	20
3 3 0	50.22	15
6 0 2	51.75	16
6 2 1	51.95	22

a b c (Å): 14.595 5.874 5.139
angles (deg): 90.00 90.00 90.00
Fractional positions:
Ta1 0.163 0.175 0.239
Ta2 0.163 0.825 0.739
Ta3 0.337 0.325 0.739
Ta4 0.337 0.675 0.239
Ta5 0.663 0.325 0.761
Ta6 0.663 0.675 0.261
Ta7 0.837 0.175 0.261
Ta8 0.837 0.825 0.761
Mn1 0.000 0.329 0.750
Mn2 0.000 0.671 0.250
Mn3 0.500 0.171 0.250
Mn4 0.500 0.829 0.750
O1 0.082 0.380 0.099
O2 0.082 0.620 0.599
O3 0.100 0.099 0.563
O4 0.100 0.901 0.063
O5 0.245 0.130 0.915
O6 0.245 0.870 0.415
O7 0.255 0.370 0.415
O8 0.255 0.630 0.915
O9 0.400 0.401 0.063
O10 0.400 0.599 0.563
O11 0.418 0.120 0.599
O12 0.418 0.880 0.099
O13 0.582 0.120 0.901
O14 0.582 0.880 0.401
O15 0.600 0.401 0.437
O16 0.600 0.599 0.937
O17 0.745 0.370 0.085
O18 0.745 0.630 0.585
O19 0.755 0.130 0.585
O20 0.755 0.870 0.085
O21 0.900 0.099 0.937
O22 0.900 0.901 0.437
O23 0.918 0.380 0.401
O24 0.918 0.620 0.901